This entry pairs a crystal structure of La3Pm2Y7 with its simulated powder diffraction line list. Radiation: Cu Kα X-rays. Structure: a crystal structure in Alexandria, relaxed with GGA-PBE.

Cell and atoms:
a b c (Å): 3.7037 41.2082 5.7062
angles (deg): 90.00 90.00 90.00
Space group Cmmm (No. 65)
Inequivalent atoms, fractional coordinates:
La 0.0000 0.0000 0.0000
La 0.0000 0.3292 0.5000
Pm 0.0000 0.1372 0.0000
Y 0.0000 0.0835 0.5000
Y 0.0000 0.2155 0.0000
Y 0.0000 0.4325 0.0000
Y 0.0000 0.5000 0.5000

Largest 10 diffraction maxima, in order of rising 2θ, 2θ = 5–70°:
(0 8 1), 23.26°, intensity 25
(1 3 1), 29.48°, intensity 46
(0 14 0), 30.37°, intensity 71
(1 5 1), 30.76°, intensity 95
(1 9 0), 31.06°, intensity 41
(0 0 2), 31.35°, intensity 85
(1 7 1), 32.59°, intensity 100
(0 14 1), 34.28°, intensity 45
(1 17 0), 44.70°, intensity 46
(2 0 2), 59.53°, intensity 47